No. 1
The following is a simulated powder diffraction line list of LiAc2Ga3Hg4. It was derived from a crystal structure in Alexandria, relaxed with PBE, using CuKα.

Peak list (10 most intense, 2θ from 10° to 90°, sorted by position)
(hkl), two_theta, Rel. int.
1 1 0, 27.01, 22
1 1 1, 28.17, 37
1 0 3, 30.61, 80
1 1 2, 31.43, 100
2 0 0, 38.56, 72
1 0 5, 44.78, 31
2 1 3, 50.02, 42
2 2 0, 55.68, 25
2 1 5, 60.55, 25
3 1 2, 65.35, 25

Structural model:
Cell: 4.669 4.669 11.228 Å, 90.00 90.00 90.00°
Space group P-4m2 (No. 115)
Inequivalent atoms, fractional coordinates:
Li 0.000 0.000 0.000 [1 per cell]
Ac 0.000 0.500 0.744 [2 per cell]
Ga 0.000 0.500 0.360 [2 per cell]
Ga 0.500 0.500 0.000 [1 per cell]
Hg 0.000 0.000 0.500 [1 per cell]
Hg 0.000 0.500 0.123 [2 per cell]
Hg 0.500 0.500 0.500 [1 per cell]

---

No. 2
The following is a simulated powder diffraction line list of RbNaSn. It was derived from a crystal structure in Alexandria, relaxed with PBE, using CuKα.

Peak list (10 most intense, 2θ from 10° to 90°, sorted by position)
(hkl), two_theta, Rel. int.
1 0 1, 16.77, 40
1 1 0, 22.55, 80
1 0 3, 22.66, 23
1 0 5, 31.38, 100
2 0 0, 32.10, 53
2 1 5, 45.52, 52
2 2 0, 46.03, 19
3 1 0, 51.85, 20
3 0 5, 56.76, 24
3 2 5, 66.74, 17

Structural model:
Cell: 5.577 5.577 16.570 Å, 90.00 90.00 90.00°
Space group I4/mmm (No. 139)
Inequivalent atoms, fractional coordinates:
Rb 0.000 0.000 0.182 [4 per cell]
Na 0.000 0.500 0.000 [4 per cell]
Sn 0.000 0.000 0.410 [4 per cell]

---

No. 3
The following is a simulated powder diffraction line list of Na2Sb2S3. It was derived from a crystal structure in Alexandria, relaxed with PBE, using CuKα.

Peak list (10 most intense, 2θ from 10° to 90°, sorted by position)
(hkl), two_theta, Rel. int.
1 0 0, 14.50, 98
0 1 1, 16.50, 95
1 1 -2, 24.35, 55
0 1 2, 25.63, 79
1 2 -1, 28.22, 100
2 0 -2, 28.52, 32
1 0 2, 31.73, 68
2 2 -1, 36.28, 41
1 3 1, 43.17, 43
3 1 -3, 45.19, 32

Structural model:
Cell: 6.721 7.330 8.690 Å, 90.00 114.69 90.00°
Space group P2_1/c (No. 14)
Inequivalent atoms, fractional coordinates:
Na 0.074 0.178 0.334 [4 per cell]
Sb 0.415 0.621 0.592 [4 per cell]
S 0.000 0.000 0.000 [2 per cell]
S 0.318 0.509 0.145 [4 per cell]

---

No. 4
The following is a simulated powder diffraction line list of CaTlAuSeNF. It was derived from a crystal structure in Alexandria, relaxed with PBE, using CuKα.

Peak list (10 most intense, 2θ from 10° to 90°, sorted by position)
(hkl), two_theta, Rel. int.
0 0 1, 12.86, 100
0 1 -1, 17.85, 34
1 -1 0, 24.92, 51
0 1 -2, 25.42, 54
0 1 1, 26.00, 42
1 0 1, 29.26, 59
1 0 -2, 31.85, 46
1 1 -1, 32.56, 33
1 1 0, 34.50, 52
1 -2 1, 35.94, 35

Structural model:
Cell: 3.953 5.488 7.455 Å, 109.85 94.51 105.75°
Space group P1 (No. 1)
Inequivalent atoms, fractional coordinates:
Ca 0.000 0.000 0.000 [1 per cell]
Tl 0.888 0.769 0.396 [1 per cell]
Au 0.523 0.241 0.700 [1 per cell]
Se 0.285 0.606 0.693 [1 per cell]
N 0.683 0.910 0.695 [1 per cell]
F 0.570 0.124 0.146 [1 per cell]

---

No. 5
The following is a simulated powder diffraction line list of Tb3Cd2Hg. It was derived from a crystal structure in Alexandria, relaxed with PBE, using CuKα.

Peak list (10 most intense, 2θ from 10° to 90°, sorted by position)
(hkl), two_theta, Rel. int.
1 0 0, 19.35, 2
0 1 1, 23.72, 1
1 1 0, 33.80, 100
2 0 2, 48.55, 18
1 0 4, 60.32, 10
3 0 0, 60.51, 28
0 2 4, 70.99, 6
2 2 0, 71.19, 6
2 1 4, 81.01, 8
3 1 2, 81.15, 8

Structural model:
Cell: 5.2977 5.2977 6.5125 Å, 90.00 90.00 120.00°
Space group P-3m1 (No. 164)
Inequivalent atoms, fractional coordinates:
Tb 0.0000 0.0000 0.0000 [1 per cell]
Tb 0.3333 0.6667 0.6607 [2 per cell]
Cd 0.3333 0.6667 0.1550 [2 per cell]
Hg 0.0000 0.0000 0.5000 [1 per cell]

---

No. 6
The following is a simulated powder diffraction line list of In2CuSb. It was derived from a crystal structure in Alexandria, relaxed with PBE, using CuKα.

Peak list (10 most intense, 2θ from 10° to 90°, sorted by position)
(hkl), two_theta, Rel. int.
1 1 1, 29.29, 17
0 0 3, 30.23, 15
1 1 2, 34.23, 100
0 2 0, 38.28, 24
2 0 0, 40.18, 21
1 1 3, 41.30, 10
2 2 0, 56.70, 15
1 1 5, 59.36, 11
1 3 2, 66.62, 14
3 1 2, 69.22, 12

Structural model:
Cell: 4.488 4.703 8.871 Å, 90.00 90.00 90.00°
Space group Cmm2 (No. 35)
Inequivalent atoms, fractional coordinates:
In 0.000 0.000 0.000 [2 per cell]
In 0.000 0.500 0.294 [2 per cell]
Cu 0.000 0.500 0.799 [2 per cell]
Sb 0.000 0.000 0.606 [2 per cell]